Pr3PbSe: calculated powder X-ray diffraction pattern (copper Kα), based on a structure optimized by DFT (GGA-PBE).
Kinematic intensities with the Lorentz-polarization factor, no thermal factor.

Structure:
```
20
Lattice="8.9922 0.0000 0.0000 0.0000 4.3793 0.0000 0.0000 0.0000 16.0680" Properties=species:S:1:pos:R:3 pbc="T T T"
Pr 0.1992 1.0948 1.7490
Pr 1.3924 1.0948 8.5731
Pr 1.5716 3.2845 4.5728
Pr 2.9245 1.0948 12.6068
Pr 3.1036 3.2845 0.5391
Pr 4.2969 3.2845 9.7830
Pr 4.6953 1.0948 6.2850
Pr 5.8885 1.0948 15.5289
Pr 6.0677 3.2845 3.4613
Pr 7.4205 1.0948 11.4953
Pr 7.5997 3.2845 7.4949
Pr 8.7929 3.2845 14.3190
Pb 0.9228 3.2845 11.0645
Pb 3.5732 1.0948 3.0305
Pb 5.4189 3.2845 13.0376
Pb 8.0693 1.0948 5.0036
Se 1.6453 1.0948 15.2161
Se 2.8508 3.2845 7.1821
Se 6.1413 1.0948 8.8860
Se 7.3469 3.2845 0.8519
```

Largest 10 diffraction maxima, in order of rising 2θ, 15° ≤ 2θ ≤ 90°:
2theta	intensity	h k l
28.13	45.0	1 1 3
29.00	40.0	2 1 1
29.52	46.7	1 0 5
30.59	100.0	2 1 2
31.84	32.9	3 0 2
34.62	29.4	0 1 5
40.15	18.9	3 1 3
41.22	34.4	0 2 0
44.31	16.3	2 0 7
51.52	20.1	1 2 5